# LiFeSiO4
Computed powder X-ray diffraction pattern, Cu Kα (λ = 1.5418 Å). Input: a DFT-relaxed cell (GGA+U, the Materials Project).

Structural model:
Unit cell a=5.4742 b=5.4742 c=8.7598 alpha=90.03 beta=90.03 gamma=123.33
Fractional coordinates of all 14 atoms:
1 Li 0.1858 0.8142 0.5000
2 Li 0.8142 0.1858 0.0000
3 Fe 0.3361 0.6764 0.1891
4 Fe 0.6764 0.3361 0.6891
5 Si 0.3384 0.6742 0.8135
6 Si 0.6742 0.3384 0.3135
7 O 0.3805 0.9274 0.6930
8 O 0.4066 0.9892 0.3190
9 O 0.4455 0.8214 0.9852
10 O 0.5334 0.5513 0.7579
11 O 0.5513 0.5334 0.2579
12 O 0.8214 0.4455 0.4852
13 O 0.9274 0.3805 0.1930
14 O 0.9892 0.4066 0.8190

Principal peaks in the range 2θ from 5° to 70°, by angle:
d 4.818, I 97; d 4.574, I 100; d 4.380, I 88; d 4.222, I 64; d 4.055, I 49; d 3.163, I 41; d 2.461, I 43; d 2.320, I 39

---

# Li2FeSiO4
Computed powder X-ray diffraction pattern, Cu Kα (λ = 1.5418 Å). Input: a DFT-relaxed cell (GGA+U, the Materials Project).

Structural model:
Unit cell a=6.3391 b=5.4081 c=5.0092 alpha=90.00 beta=90.00 gamma=90.00
Fractional coordinates of all 16 atoms:
1 Li 0.2497 0.1684 0.0000
2 Li 0.2503 0.8316 0.5000
3 Li 0.7503 0.1684 0.0000
4 Li 0.7497 0.8316 0.5000
5 Fe 0.0000 0.3290 0.5061
6 Fe 0.5000 0.6710 0.0061
7 Si 0.0000 0.6705 0.9919
8 Si 0.5000 0.3295 0.4919
9 O 0.0000 0.3769 0.0901
10 O 0.0000 0.6799 0.6624
11 O 0.2138 0.8144 0.1022
12 O 0.2862 0.1856 0.6022
13 O 0.5000 0.3201 0.1624
14 O 0.5000 0.6231 0.5901
15 O 0.7138 0.1856 0.6022
16 O 0.7862 0.8144 0.1022

Principal peaks in the range 2θ from 5° to 70°, by angle:
d 5.408, I 43; d 3.675, I 100; d 3.170, I 42; d 2.735, I 48; d 2.704, I 28; d 2.505, I 46; d 2.400, I 36; d 1.567, I 27

---

# Li2FeSi3O8
Computed powder X-ray diffraction pattern, Cu Kα (λ = 1.5418 Å). Input: a DFT-relaxed cell (GGA+U, the Materials Project).

Structural model:
Unit cell a=5.0960 b=10.0420 c=6.9277 alpha=90.00 beta=91.01 gamma=90.00
Fractional coordinates of all 28 atoms:
1 Li 0.0590 0.0000 0.2506
2 Li 0.4090 0.2910 0.2607
3 Li 0.5910 0.7910 0.7393
4 Li 0.9410 0.5000 0.7494
5 Fe 0.0911 0.9675 0.7472
6 Fe 0.9089 0.4675 0.2528
7 Si 0.0097 0.7247 0.0264
8 Si 0.4039 0.5409 0.4711
9 Si 0.4774 0.3029 0.7247
10 Si 0.5226 0.8029 0.2753
11 Si 0.5961 0.0409 0.5289
12 Si 0.9903 0.2247 0.9736
13 O 0.0368 0.0673 0.9907
14 O 0.0503 0.2881 0.1829
15 O 0.0928 0.5270 0.5002
16 O 0.1765 0.2963 0.8029
17 O 0.3142 0.7638 0.1032
18 O 0.4533 0.9594 0.3377
19 O 0.4844 0.9707 0.7188
20 O 0.4966 0.7040 0.4703
21 O 0.5034 0.2040 0.5297
22 O 0.5156 0.4707 0.2812
23 O 0.5467 0.4594 0.6623
24 O 0.6858 0.2638 0.8968
25 O 0.8235 0.7963 0.1971
26 O 0.9072 0.0270 0.4998
27 O 0.9497 0.7881 0.8171
28 O 0.9632 0.5673 0.0093

Principal peaks in the range 2θ from 5° to 70°, by angle:
d 5.702, I 66; d 4.139, I 19; d 4.068, I 100; d 3.827, I 47; d 3.014, I 28; d 2.851, I 40; d 2.548, I 26; d 2.511, I 28

---

# Li2FeSiO4
Computed powder X-ray diffraction pattern, Cu Kα (λ = 1.5418 Å). Input: a DFT-relaxed cell (GGA+U, the Materials Project).

Structural model:
Unit cell a=6.9165 b=5.2636 c=10.2635 alpha=90.00 beta=90.69 gamma=90.00
Fractional coordinates of all 32 atoms:
1 Li 0.0040 0.2373 0.1554
2 Li 0.0040 0.2627 0.6554
3 Li 0.2254 0.1294 0.8493
4 Li 0.2254 0.3706 0.3493
5 Li 0.7746 0.6294 0.6507
6 Li 0.7746 0.8706 0.1507
7 Li 0.9960 0.7373 0.3446
8 Li 0.9960 0.7627 0.8446
9 Fe 0.4975 0.2466 0.6406
10 Fe 0.4975 0.2534 0.1406
11 Fe 0.5025 0.7466 0.8594
12 Fe 0.5025 0.7534 0.3594
13 Si 0.2405 0.7402 0.1020
14 Si 0.2405 0.7598 0.6020
15 Si 0.7595 0.2402 0.3980
16 Si 0.7595 0.2598 0.8980
17 O 0.0503 0.6362 0.6659
18 O 0.0503 0.8638 0.1659
19 O 0.2468 0.0698 0.6343
20 O 0.2468 0.4302 0.1343
21 O 0.2481 0.7088 0.4425
22 O 0.2481 0.7912 0.9425
23 O 0.4475 0.6394 0.6637
24 O 0.4475 0.8606 0.1637
25 O 0.5525 0.1394 0.8363
26 O 0.5525 0.3606 0.3363
27 O 0.7519 0.2088 0.0575
28 O 0.7519 0.2912 0.5575
29 O 0.7532 0.5698 0.8657
30 O 0.7532 0.9302 0.3657
31 O 0.9497 0.1362 0.8341
32 O 0.9497 0.3638 0.3341

Principal peaks in the range 2θ from 5° to 70°, by angle:
d 6.916, I 100; d 4.189, I 47; d 4.145, I 30; d 3.233, I 70; d 2.632, I 38; d 2.566, I 47; d 2.529, I 22; d 2.507, I 20

---

# Li2FeSi3O8
Computed powder X-ray diffraction pattern, Cu Kα (λ = 1.5418 Å). Input: a DFT-relaxed cell (GGA+U, the Materials Project).

Structural model:
Unit cell a=5.1032 b=6.2938 c=6.2981 alpha=76.45 beta=72.66 gamma=74.41
Fractional coordinates of all 14 atoms:
1 Li 0.0000 0.0000 0.0000
2 Li 0.4986 0.2664 0.3340
3 Fe 0.6294 0.7724 0.3510
4 Si 0.5608 0.3396 0.7546
5 Si 0.9532 0.5446 0.8855
6 Si 0.9816 0.9653 0.5255
7 O 0.2274 0.3237 0.8822
8 O 0.2927 0.0140 0.4611
9 O 0.5771 0.4684 0.5013
10 O 0.6707 0.4390 0.9289
11 O 0.7729 0.0897 0.7463
12 O 0.8413 0.0275 0.3135
13 O 0.9247 0.6907 0.0704
14 O 0.9915 0.6956 0.6316

Principal peaks in the range 2θ from 5° to 70°, by angle:
d 5.927, I 34; d 4.758, I 65; d 4.613, I 59; d 4.142, I 60; d 3.894, I 100; d 3.385, I 22; d 2.931, I 31; d 2.839, I 31

---

# LiFeSiO4
Computed powder X-ray diffraction pattern, Cu Kα (λ = 1.5418 Å). Input: a DFT-relaxed cell (GGA+U, the Materials Project).

Structural model:
Unit cell a=7.9145 b=18.9113 c=5.2164 alpha=90.00 beta=90.00 gamma=90.00
Fractional coordinates of all 56 atoms:
1 Li 0.0500 0.0441 0.0000
2 Li 0.0859 0.2301 0.8464
3 Li 0.4141 0.7301 0.3464
4 Li 0.4500 0.5441 0.5000
5 Li 0.5500 0.4559 0.0000
6 Li 0.5859 0.2699 0.8464
7 Li 0.9141 0.7699 0.3464
8 Li 0.9500 0.9559 0.5000
9 Fe 0.0229 0.4298 0.3422
10 Fe 0.1552 0.8335 0.7954
11 Fe 0.3448 0.3335 0.2954
12 Fe 0.4771 0.9298 0.8422
13 Fe 0.5229 0.0702 0.3422
14 Fe 0.6552 0.6665 0.7954
15 Fe 0.8448 0.1665 0.2954
16 Fe 0.9771 0.5702 0.8422
17 Si 0.1814 0.1785 0.2878
18 Si 0.2264 0.4335 0.7792
19 Si 0.2736 0.9335 0.2792
20 Si 0.3186 0.6785 0.7878
21 Si 0.6814 0.3215 0.2878
22 Si 0.7264 0.0665 0.7792
23 Si 0.7736 0.5665 0.2792
24 Si 0.8186 0.8215 0.7878
25 O 0.0442 0.1972 0.5147
26 O 0.0466 0.1440 0.0771
27 O 0.0581 0.4815 0.6822
28 O 0.1020 0.9749 0.2388
29 O 0.1641 0.6269 0.8670
30 O 0.1959 0.4064 0.0807
31 O 0.1976 0.3670 0.5716
32 O 0.2460 0.7502 0.6422
33 O 0.2540 0.2502 0.1422
34 O 0.3024 0.8670 0.0716
35 O 0.3041 0.9064 0.5807
36 O 0.3359 0.1269 0.3670
37 O 0.3980 0.4749 0.7388
38 O 0.4419 0.9815 0.1822
39 O 0.4534 0.6440 0.5771
40 O 0.4558 0.6972 0.0147
41 O 0.5442 0.3028 0.5147
42 O 0.5466 0.3560 0.0771
43 O 0.5581 0.0185 0.6822
44 O 0.6020 0.5251 0.2388
45 O 0.6641 0.8731 0.8670
46 O 0.6959 0.0936 0.0807
47 O 0.6976 0.1330 0.5716
48 O 0.7460 0.7498 0.6422
49 O 0.7540 0.2498 0.1422
50 O 0.8024 0.6330 0.0716
51 O 0.8041 0.5936 0.5807
52 O 0.8359 0.3731 0.3670
53 O 0.8980 0.0251 0.7388
54 O 0.9419 0.5185 0.1822
55 O 0.9534 0.8560 0.5771
56 O 0.9558 0.8028 0.0147

Principal peaks in the range 2θ from 5° to 70°, by angle:
d 6.069, I 51; d 5.029, I 100; d 4.931, I 52; d 3.413, I 27; d 3.203, I 56; d 2.820, I 26; d 2.422, I 22; d 2.284, I 22